[1]
Calculated powder X-ray diffraction pattern
Compound: ThAlGaCu6
Radiation: Cu Kα (weighted mean of Kα1 and Kα2)
Structure: a cell relaxed with GGA-PBE
Kinematic intensities with the Lorentz-polarization factor, no thermal factor.

Principal peaks in the range 15 to 90 degrees two-theta, sorted by position:
2θ (°)	I/Imax
17.0	40
24.0	37
31.1	38
34.4	36
35.5	100
39.4	70
40.5	33
41.7	49
42.0	30
43.3	37

Structure:
Unit cell a=5.564 b=6.901 c=14.892 alpha=90.00 beta=90.00 gamma=90.00
Space group Imma (No. 74)
One atom of each set of equivalent atoms:
Th 0.000 0.250 0.030
Al 0.000 0.000 0.500
Ga 0.250 0.250 0.250
Cu 0.000 0.250 0.384
Cu 0.000 0.250 0.753
Cu 0.250 0.060 0.643

***

[2]
Calculated powder X-ray diffraction pattern
Compound: Th2Fe17C
Radiation: Cu Kα (weighted mean of Kα1 and Kα2)
Structure: a cell relaxed with GGA-PBE
Kinematic intensities with the Lorentz-polarization factor, no thermal factor.

Principal peaks in the range 15 to 90 degrees two-theta, sorted by position:
2θ (°)	I/Imax
29.8	64
29.9	36
36.1	45
37.7	34
41.7	68
42.0	61
42.4	100
43.2	25
43.7	65
61.6	25

Structure:
Unit cell a=9.701 b=8.603 c=6.495 alpha=90.00 beta=98.39 gamma=90.00
Space group C2/m (No. 12)
One atom of each set of equivalent atoms:
Th 0.165 0.000 0.356
Fe 0.000 0.215 0.000
Fe 0.000 0.500 0.500
Fe 0.095 0.253 0.657
Fe 0.096 0.500 0.903
Fe 0.140 0.357 0.281
Fe 0.157 0.000 0.851
Fe 0.250 0.250 0.000
C 0.000 0.000 0.000

***

[3]
Calculated powder X-ray diffraction pattern
Compound: AlGaAu6
Radiation: Cu Kα (weighted mean of Kα1 and Kα2)
Structure: a cell relaxed with GGA-PBE
Kinematic intensities with the Lorentz-polarization factor, no thermal factor.

Principal peaks in the range 15 to 90 degrees two-theta, sorted by position:
2θ (°)	I/Imax
29.4	26
32.3	17
37.5	100
39.7	91
40.0	84
53.7	19
57.8	16
69.1	36
69.6	28
73.9	28

Structure:
Unit cell a=6.074 b=6.822 c=7.382 alpha=90.00 beta=114.25 gamma=90.00
Space group C2/m (No. 12)
One atom of each set of equivalent atoms:
Al 0.000 0.000 0.000
Ga 0.000 0.500 0.000
Au 0.135 0.249 0.775
Au 0.250 0.000 0.496

***

[4]
Calculated powder X-ray diffraction pattern
Compound: ZrAu2I6
Radiation: Cu Kα (weighted mean of Kα1 and Kα2)
Structure: a cell relaxed with GGA-PBE
Kinematic intensities with the Lorentz-polarization factor, no thermal factor.

Principal peaks in the range 15 to 90 degrees two-theta, sorted by position:
2θ (°)	I/Imax
17.4	33
21.1	37
21.8	45
23.5	100
26.3	66
27.3	32
30.0	42
37.5	58
39.4	36
42.9	38

Structure:
Unit cell a=15.235 b=16.215 c=7.184 alpha=90.00 beta=96.36 gamma=90.00
Space group C2/c (No. 15)
One atom of each set of equivalent atoms:
Zr 0.000 0.084 0.250
Au 0.102 0.499 0.284
I 0.107 0.058 0.604
I 0.113 0.384 0.538
I 0.118 0.194 0.131